(1)
This entry pairs a crystal structure of Ti8Nb3In3 with its computed PXRD pattern. Radiation: Cu Kα, 1.54184 Å. Structure: the PBE geometry in Alexandria.
Peak positions follow from Bragg's law for the DFT cell and can differ from measured ones.

Principal peaks in the range 10 to 80 degrees two-theta, sorted by position:
two_theta, I_rel, hkl
15.63, 33, 2 0 1
34.24, 52, 3 1 0
36.94, 86, 3 1 1
37.30, 100, 2 0 -4
37.59, 87, 8 0 -2
37.89, 51, 1 1 2
40.13, 76, 6 0 2
40.60, 76, 5 1 -2
41.98, 48, 3 1 2
44.69, 36, 5 1 -3

Crystal structure
abc: 19.5079 2.8945 9.6696
angles: 90.00 108.58 90.00
Space group C2/m (No. 12)
Inequivalent atoms, fractional coordinates:
Ti (0.0886, 0.0000, 0.3074) [4 per cell]
Ti (0.1452, 0.5000, 0.0771) [4 per cell]
Ti (0.2028, 0.0000, 0.8753) [4 per cell]
Ti (0.2210, 0.5000, 0.3652) [4 per cell]
Nb (0.0000, 0.0000, 0.5000) [2 per cell]
Nb (0.0572, 0.5000, 0.7882) [4 per cell]
In (0.0000, 0.0000, 0.0000) [2 per cell]
In (0.1431, 0.5000, 0.5867) [4 per cell]

=====

(2)
This entry pairs a crystal structure of Ti4MnS8 with its computed PXRD pattern. Radiation: Cu Kα, 1.54184 Å. Structure: the PBE geometry in Alexandria.
Peak positions follow from Bragg's law for the DFT cell and can differ from measured ones.

Principal peaks in the range 10 to 80 degrees two-theta, sorted by position:
two_theta, I_rel, hkl
14.62, 32, 0 0 3
15.76, 11, 1 0 1
17.89, 8, 0 1 2
30.63, 10, 0 2 1
36.24, 100, 0 2 4
50.66, 34, 2 0 8
53.68, 29, 2 2 0
61.17, 6, 0 0 12
66.50, 14, 4 0 4
76.93, 9, 0 4 8

Crystal structure
abc: 6.8294 6.8294 18.1822
angles: 90.00 90.00 120.00
Space group R-3m (No. 166, hexagonal axes)
Inequivalent atoms, fractional coordinates:
Ti (0.0000, 0.0000, 0.0000) [3 per cell]
Ti (0.0000, 0.5000, 0.0000) [9 per cell]
Mn (0.0000, 0.0000, 0.5000) [3 per cell]
S (0.0000, 0.0000, 0.2556) [6 per cell]
S (0.0007, 0.5003, 0.7471) [18 per cell]

=====

(3)
This entry pairs a crystal structure of Ba3TaP4 with its computed PXRD pattern. Radiation: Cu Kα, 1.54184 Å. Structure: the PBE geometry in Alexandria.
Peak positions follow from Bragg's law for the DFT cell and can differ from measured ones.

Principal peaks in the range 10 to 80 degrees two-theta, sorted by position:
two_theta, I_rel, hkl
21.73, 31, 2 0 1
24.47, 84, 0 2 2
25.95, 100, 2 2 0
26.44, 42, 1 2 2
26.76, 59, 2 0 2
28.71, 38, 1 0 3
32.12, 32, 2 3 0
33.37, 54, 1 2 3
33.60, 42, 0 4 0
58.33, 35, 5 3 1

Crystal structure
abc: 8.9727 10.6694 9.9442
angles: 90.00 90.00 90.00
Space group Pnma (No. 62)
Inequivalent atoms, fractional coordinates:
Ba (0.0482, 0.0454, 0.1926) [8 per cell]
Ba (0.1539, 0.7500, 0.4234) [4 per cell]
Ta (0.2448, 0.2500, 0.4754) [4 per cell]
P (0.0190, 0.7500, 0.0842) [4 per cell]
P (0.1285, 0.0463, 0.5144) [8 per cell]
P (0.2037, 0.7500, 0.7438) [4 per cell]

=====

(4)
This entry pairs a crystal structure of TbPr2HoSb4 with its computed PXRD pattern. Radiation: Cu Kα, 1.54184 Å. Structure: the PBE geometry in Alexandria.
Peak positions follow from Bragg's law for the DFT cell and can differ from measured ones.

Principal peaks in the range 10 to 80 degrees two-theta, sorted by position:
two_theta, I_rel, hkl
12.13, 1, 1 0 0
24.37, 2, 2 0 0
28.22, 100, 1 1 1
40.33, 76, 0 2 0
47.69, 1, 3 1 1
49.95, 27, 0 0 4
58.36, 13, 2 2 2
66.06, 35, 1 3 1
73.30, 19, 2 0 -6
73.41, 6, 5 1 1

Crystal structure
abc: 7.7389 4.4765 7.7493
angles: 90.00 109.50 90.00
Space group P2/m (No. 10)
Inequivalent atoms, fractional coordinates:
Tb (0.0000, 0.0000, 0.0000) [1 per cell]
Pr (0.5000, 0.0000, 0.5000) [1 per cell]
Pr (0.5000, 0.5000, 0.0000) [1 per cell]
Ho (0.0000, 0.5000, 0.5000) [1 per cell]
Sb (0.2386, 0.0000, 0.7452) [2 per cell]
Sb (0.2393, 0.5000, 0.2475) [2 per cell]

=====

(5)
This entry pairs a crystal structure of La5Nd2 with its computed PXRD pattern. Radiation: Cu Kα, 1.54184 Å. Structure: the PBE geometry in Alexandria.
Peak positions follow from Bragg's law for the DFT cell and can differ from measured ones.

Principal peaks in the range 10 to 80 degrees two-theta, sorted by position:
two_theta, I_rel, hkl
30.25, 100, 1 1 0
33.25, 8, 0 1 8
37.14, 4, 1 1 6
43.31, 16, 0 2 7
53.75, 31, 3 0 0
55.70, 4, 1 2 8
62.94, 9, 2 2 0
63.40, 7, 1 1 15
71.40, 10, 1 3 7
79.91, 3, 3 0 15

Crystal structure
abc: 5.9053 5.9053 25.3608
angles: 90.00 90.00 120.00
Space group R-3m (No. 166, hexagonal axes)
Inequivalent atoms, fractional coordinates:
La (0.0000, 0.0000, 0.0000) [3 per cell]
La (0.0000, 0.0000, 0.2671) [6 per cell]
La (0.0000, 0.0000, 0.4170) [6 per cell]
Nd (0.0000, 0.0000, 0.1368) [6 per cell]

=====

(6)
This entry pairs a crystal structure of DyEr2Ru2 with its computed PXRD pattern. Radiation: Cu Kα, 1.54184 Å. Structure: the PBE geometry in Alexandria.
Peak positions follow from Bragg's law for the DFT cell and can differ from measured ones.

Principal peaks in the range 10 to 80 degrees two-theta, sorted by position:
two_theta, I_rel, hkl
26.49, 41, 0 6 0
34.56, 67, 1 5 0
37.82, 96, 0 6 1
37.97, 100, 1 1 1
41.09, 37, 1 7 0
54.16, 17, 2 0 0
54.55, 33, 0 0 2
63.98, 22, 1 11 1
66.23, 22, 1 5 2
67.94, 34, 2 6 1

Crystal structure
abc: 3.3870 20.2001 3.3620
angles: 90.00 90.00 90.00
Space group Cmmm (No. 65)
Inequivalent atoms, fractional coordinates:
Dy (0.0000, 0.0000, 0.0000) [2 per cell]
Er (0.0000, 0.1658, 0.0000) [4 per cell]
Ru (0.0000, 0.4107, 0.5000) [4 per cell]

=====

Q: Which formula does entry 4 have?
A: TbPr2HoSb4